Ac2Mn2Cu15: calculated powder diffraction line list (a wavelength of 1.5418 Å), based on DFT lattice parameters and positions (PBE).

Cell and atoms:
Unit cell a=6.6405 b=6.6405 c=6.6405 alpha=83.06 beta=83.06 gamma=83.06
Atoms (fractional coordinates):
Ac: 0.1573 0.1573 0.1573
Ac: 0.8427 0.8427 0.8427
Mn: 0.4045 0.4045 0.4045
Mn: 0.5955 0.5955 0.5955
Cu: 0.0000 0.5000 0.5000
Cu: 0.1599 0.1599 0.6511
Cu: 0.1599 0.6511 0.1599
Cu: 0.2146 0.5000 0.7854
Cu: 0.2146 0.7854 0.5000
Cu: 0.3489 0.8401 0.8401
Cu: 0.5000 0.0000 0.5000
Cu: 0.5000 0.2146 0.7854
Cu: 0.5000 0.5000 0.0000
Cu: 0.5000 0.7854 0.2146
Cu: 0.6511 0.1599 0.1599
Cu: 0.7854 0.2146 0.5000
Cu: 0.7854 0.5000 0.2146
Cu: 0.8401 0.3489 0.8401
Cu: 0.8401 0.8401 0.3489

Most intense lines, 5° ≤ 2θ ≤ 70°, sorted by position:
- d 3.066, rel. 54
- d 2.542, rel. 39
- d 2.453, rel. 27
- d 2.201, rel. 61
- d 2.184, rel. 100
- d 2.136, rel. 32